Diffraction record for NdSmDy2Tm2. The XRD peak list is simulated, not measured: it uses a DFT-relaxed cell (PBE, Alexandria) and copper Kα.
Lines closer than 0.1° are merged.

Structural model:
a = 6.531 Å, b = 17.832 Å, c = 3.396 Å
α = 90.00°, β = 90.00°, γ = 90.00°
Space group Pnnm (No. 58)
Symmetry-distinct sites (fractional):
Nd (0.000, 0.000, 0.000) [2 per cell]
Sm (0.000, 0.500, 0.000) [2 per cell]
Dy (0.224, 0.187, 0.000) [4 per cell]
Tm (0.222, 0.351, 0.500) [4 per cell]

Principal peaks in the range 2θ from 10° to 90°, by angle:
| Position (°2θ) | I (rel.) |
| --- | --- |
| 29.1 | 100 |
| 30.1 | 79 |
| 30.3 | 96 |
| 34.0 | 57 |
| 41.2 | 71 |
| 65.4 | 38 |